Simulated PXRD pattern
Compound: BeIn2Cu5
Radiation: copper Kα
Structure: the PBE geometry in OQMD

Peak list (10 most intense, 15 to 90 degrees two-theta, in order of rising 2θ)
(1 0 0), 2θ 20.8, rel. 2
(1 0 1), 2θ 25.6, rel. 19
(1 1 1), 2θ 33.2, rel. 2
(1 0 2), 2θ 36.4, rel. 1
(2 0 0), 2θ 42.3, rel. 100
(2 1 1), 2θ 50.1, rel. 9
(2 2 0), 2θ 61.4, rel. 15
(3 0 1), 2θ 67.6, rel. 4
(3 1 2), 2θ 77.4, rel. 30
(3 2 1), 2θ 83.1, rel. 3

Crystal structure
Cell: 4.269 4.269 6.039 Å, 90.00 90.00 90.00°
Sites, in units of the cell vectors:
1 Be 0.000 0.000 0.000
2 In 0.000 0.000 0.500
3 In 0.500 0.500 0.000
4 Cu 0.000 0.500 0.241
5 Cu 0.000 0.500 0.759
6 Cu 0.500 0.000 0.241
7 Cu 0.500 0.000 0.759
8 Cu 0.500 0.500 0.500